No. 1
This entry pairs a crystal structure of Sr5Tl3 with its calculated PXRD pattern. Radiation: λ = 1.5418 Å (Cu Kα). Structure: a cell relaxed with PBE.
Neutral-atom scattering factors, no anomalous dispersion.

Top 8 peaks for 10 to 90 degrees two-theta, in order of rising 2θ:
| 2θ (°) | d (Å) | I (rel.) |
| --- | --- | --- |
| 17.90 | 4.956 | 45 |
| 27.92 | 3.196 | 100 |
| 29.95 | 2.983 | 33 |
| 31.79 | 2.815 | 56 |
| 35.90 | 2.501 | 19 |
| 39.07 | 2.306 | 17 |
| 56.24 | 1.636 | 17 |
| 57.56 | 1.601 | 17 |

Structural model:
abc: 10.2098 10.2098 10.2098
angles: 128.31 128.31 76.13
Fractional positions:
1 Sr 0.0000 0.0000 0.0000
2 Sr 0.0245 0.5245 0.8407
3 Sr 0.1838 0.0245 0.5000
4 Sr 0.3162 0.8162 0.8407
5 Sr 0.4755 0.3162 0.5000
6 Sr 0.5000 0.5000 0.0000
7 Sr 0.5245 0.6838 0.5000
8 Sr 0.6838 0.1838 0.1593
9 Sr 0.8162 0.9755 0.5000
10 Sr 0.9755 0.4755 0.1593
11 Tl 0.1233 0.3767 0.5000
12 Tl 0.2500 0.2500 0.0000
13 Tl 0.3767 0.8767 0.2534
14 Tl 0.6233 0.1233 0.7466
15 Tl 0.7500 0.7500 0.0000
16 Tl 0.8767 0.6233 0.5000


No. 2
This entry pairs a crystal structure of LaTb6Se8 with its calculated PXRD pattern. Radiation: λ = 1.5418 Å (Cu Kα). Structure: a cell relaxed with PBE.
Neutral-atom scattering factors, no anomalous dispersion.

Top 8 peaks for 10 to 90 degrees two-theta, in order of rising 2θ:
| 2θ (°) | d (Å) | I (rel.) |
| --- | --- | --- |
| 26.64 | 3.346 | 13 |
| 30.85 | 2.898 | 100 |
| 44.20 | 2.049 | 74 |
| 52.35 | 1.748 | 7 |
| 54.87 | 1.673 | 26 |
| 64.28 | 1.449 | 12 |
| 73.00 | 1.296 | 32 |
| 81.32 | 1.183 | 24 |

Structural model:
abc: 8.1970 8.1970 8.1970
angles: 60.00 60.00 60.00
Fractional positions:
1 La 0.0000 0.0000 0.0000
2 Tb 0.0000 0.0000 0.5000
3 Tb 0.0000 0.5000 0.0000
4 Tb 0.0000 0.5000 0.5000
5 Tb 0.5000 0.0000 0.0000
6 Tb 0.5000 0.0000 0.5000
7 Tb 0.5000 0.5000 0.0000
8 Se 0.2500 0.2500 0.2500
9 Se 0.2612 0.2612 0.7388
10 Se 0.2612 0.7388 0.2612
11 Se 0.2612 0.7388 0.7388
12 Se 0.7388 0.2612 0.2612
13 Se 0.7388 0.2612 0.7388
14 Se 0.7388 0.7388 0.2612
15 Se 0.7500 0.7500 0.7500


No. 3
This entry pairs a crystal structure of Sr3CaRh with its calculated PXRD pattern. Radiation: λ = 1.5418 Å (Cu Kα). Structure: a cell relaxed with PBE.
Neutral-atom scattering factors, no anomalous dispersion.

Top 8 peaks for 10 to 90 degrees two-theta, in order of rising 2θ:
| 2θ (°) | d (Å) | I (rel.) |
| --- | --- | --- |
| 10.53 | 8.399 | 47 |
| 16.19 | 5.475 | 38 |
| 27.55 | 3.238 | 50 |
| 27.70 | 3.220 | 100 |
| 27.79 | 3.211 | 54 |
| 28.10 | 3.176 | 98 |
| 35.92 | 2.500 | 44 |
| 36.38 | 2.469 | 46 |

Structural model:
abc: 6.8921 7.2188 8.4001
angles: 90.15 90.82 91.10
Fractional positions:
1 Sr 0.0000 0.0000 0.0000
2 Sr 0.0020 0.5085 0.2444
3 Sr 0.0126 0.5039 0.7479
4 Sr 0.4863 0.8404 0.7437
5 Sr 0.5053 0.3427 0.0008
6 Sr 0.5089 0.3330 0.4848
7 Ca 0.4963 0.8465 0.2351
8 Ca 0.9793 0.0074 0.4823
9 Rh 0.2572 0.6732 0.9962
10 Rh 0.7511 0.1614 0.2512


No. 4
This entry pairs a crystal structure of Ba7Te6 with its calculated PXRD pattern. Radiation: λ = 1.5418 Å (Cu Kα). Structure: a cell relaxed with PBE.
Neutral-atom scattering factors, no anomalous dispersion.

Top 8 peaks for 10 to 90 degrees two-theta, in order of rising 2θ:
| 2θ (°) | d (Å) | I (rel.) |
| --- | --- | --- |
| 20.56 | 4.320 | 27 |
| 22.76 | 3.908 | 37 |
| 26.44 | 3.372 | 40 |
| 26.56 | 3.356 | 23 |
| 30.85 | 2.898 | 100 |
| 32.12 | 2.787 | 57 |
| 46.48 | 1.954 | 43 |
| 58.98 | 1.566 | 27 |

Structural model:
abc: 13.8523 13.8523 13.8523
angles: 32.77 32.77 32.77
Fractional positions:
1 Ba 0.0000 0.0000 0.0000
2 Ba 0.0668 0.0668 0.5633
3 Ba 0.0668 0.5633 0.0668
4 Ba 0.4367 0.9332 0.9332
5 Ba 0.5633 0.0668 0.0668
6 Ba 0.9332 0.4367 0.9332
7 Ba 0.9332 0.9332 0.4367
8 Te 0.1675 0.1675 0.1675
9 Te 0.2964 0.2964 0.2964
10 Te 0.4300 0.4300 0.4300
11 Te 0.5700 0.5700 0.5700
12 Te 0.7036 0.7036 0.7036
13 Te 0.8325 0.8325 0.8325


No. 5
This entry pairs a crystal structure of Pr2Be2Os2C with its calculated PXRD pattern. Radiation: λ = 1.5418 Å (Cu Kα). Structure: a cell relaxed with PBE.
Neutral-atom scattering factors, no anomalous dispersion.

Top 8 peaks for 10 to 90 degrees two-theta, in order of rising 2θ:
| 2θ (°) | d (Å) | I (rel.) |
| --- | --- | --- |
| 15.58 | 5.686 | 43 |
| 25.93 | 3.436 | 34 |
| 32.61 | 2.746 | 70 |
| 33.92 | 2.642 | 98 |
| 35.14 | 2.554 | 100 |
| 40.57 | 2.224 | 21 |
| 46.13 | 1.968 | 27 |
| 57.61 | 1.600 | 33 |

Structural model:
abc: 5.7282 5.7282 7.0684
angles: 123.91 123.91 40.18
Fractional positions:
1 Pr 0.0764 0.0764 0.3191
2 Pr 0.9236 0.9236 0.6809
3 Be 0.3442 0.3442 0.2874
4 Be 0.6558 0.6558 0.7126
5 Os 0.2961 0.2961 0.9213
6 Os 0.7039 0.7039 0.0787
7 C 0.5000 0.5000 0.0000